For Li4SiPAu2, DFT lattice parameters and positions (GGA-PBE) gives the calculated powder diffraction line list in this record (λ = 1.5418 Å (Cu Kα)).

Structure:
Cell lengths 4.249, 4.249, 6.222 Å; angles 90.00, 90.00, 90.00 degrees
Sites, in units of the cell vectors:
1 Li 0.000 0.000 0.000
2 Li 0.000 0.500 0.742
3 Li 0.500 0.000 0.258
4 Li 0.500 0.500 0.500
5 Si 0.500 0.500 0.000
6 P 0.000 0.000 0.500
7 Au 0.000 0.500 0.232
8 Au 0.500 0.000 0.768

Peak list (10 most intense, 2θ from 10° to 80°, sorted by position)
25.38 deg, intensity 100
28.70 deg, intensity 13
29.73 deg, intensity 25
41.80 deg, intensity 40
42.55 deg, intensity 20
48.86 deg, intensity 16
50.20 deg, intensity 32
66.76 deg, intensity 13
67.86 deg, intensity 11
77.36 deg, intensity 13

---

For Re5Ni7, DFT lattice parameters and positions (GGA-PBE) gives the calculated powder diffraction line list in this record (λ = 1.5418 Å (Cu Kα)).

Structure:
Cell lengths 4.910, 4.910, 14.997 Å; angles 90.00, 90.00, 120.00 degrees
Sites, in units of the cell vectors:
1 Re 0.000 0.500 0.000
2 Re 0.000 0.500 0.500
3 Re 0.333 0.667 0.165
4 Re 0.333 0.667 0.335
5 Re 0.500 0.000 0.000
6 Re 0.500 0.000 0.500
7 Re 0.500 0.500 0.000
8 Re 0.500 0.500 0.500
9 Re 0.667 0.333 0.665
10 Re 0.667 0.333 0.835
11 Ni 0.000 0.000 0.089
12 Ni 0.000 0.000 0.411
13 Ni 0.000 0.000 0.589
14 Ni 0.000 0.000 0.911
15 Ni 0.156 0.312 0.750
16 Ni 0.156 0.844 0.750
17 Ni 0.312 0.156 0.250
18 Ni 0.333 0.667 0.634
19 Ni 0.333 0.667 0.866
20 Ni 0.667 0.333 0.134
21 Ni 0.667 0.333 0.366
22 Ni 0.688 0.844 0.750
23 Ni 0.844 0.156 0.250
24 Ni 0.844 0.688 0.250

Peak list (10 most intense, 2θ from 10° to 80°, sorted by position)
11.80 deg, intensity 30
20.89 deg, intensity 35
36.63 deg, intensity 34
41.93 deg, intensity 58
42.97 deg, intensity 22
44.09 deg, intensity 67
44.29 deg, intensity 100
49.27 deg, intensity 34
77.82 deg, intensity 27
77.96 deg, intensity 23

---

For LaTh2As3, DFT lattice parameters and positions (GGA-PBE) gives the calculated powder diffraction line list in this record (λ = 1.5418 Å (Cu Kα)).

Structure:
Cell lengths 4.279, 6.059, 12.884 Å; angles 90.00, 90.00, 90.00 degrees
Sites, in units of the cell vectors:
1 La 0.000 0.000 0.000
2 La 0.500 0.500 0.500
3 Th 0.000 0.000 0.335
4 Th 0.000 0.000 0.665
5 Th 0.500 0.500 0.165
6 Th 0.500 0.500 0.835
7 As 0.000 0.500 0.000
8 As 0.000 0.500 0.329
9 As 0.000 0.500 0.671
10 As 0.500 0.000 0.171
11 As 0.500 0.000 0.500
12 As 0.500 0.000 0.829

Peak list (10 most intense, 2θ from 10° to 80°, sorted by position)
25.45 deg, intensity 35
29.47 deg, intensity 100
42.15 deg, intensity 64
42.24 deg, intensity 13
52.21 deg, intensity 14
52.35 deg, intensity 14
61.16 deg, intensity 13
69.34 deg, intensity 24
76.99 deg, intensity 13
77.17 deg, intensity 13

---

For PrZrCu2P4, DFT lattice parameters and positions (GGA-PBE) gives the calculated powder diffraction line list in this record (λ = 1.5418 Å (Cu Kα)).

Structure:
Cell lengths 3.722, 3.722, 9.710 Å; angles 90.00, 90.00, 90.00 degrees
Sites, in units of the cell vectors:
1 Pr 0.000 0.000 0.000
2 Zr 0.500 0.500 0.547
3 Cu 0.000 0.500 0.285
4 Cu 0.500 0.000 0.285
5 P 0.000 0.000 0.446
6 P 0.000 0.500 0.753
7 P 0.500 0.000 0.753
8 P 0.500 0.500 0.132

Peak list (10 most intense, 2θ from 10° to 80°, sorted by position)
25.63 deg, intensity 50
30.26 deg, intensity 19
36.80 deg, intensity 29
37.03 deg, intensity 17
38.92 deg, intensity 100
44.56 deg, intensity 11
48.94 deg, intensity 31
56.05 deg, intensity 12
62.77 deg, intensity 12
62.93 deg, intensity 14